This entry pairs a crystal structure of ZnGeS3O12 with its theoretical powder diffractogram. Radiation: a wavelength of 1.5418 Å. Structure: a cell relaxed with GGA-PBE.

The 8 most intense peaks (2θ from 10° to 80°), by angle:
6.122 Å, intensity 49
4.398 Å, intensity 70
4.263 Å, intensity 35
3.681 Å, intensity 100
3.061 Å, intensity 53
2.772 Å, intensity 62
2.461 Å, intensity 24
1.723 Å, intensity 21

Atomic structure:
Cell lengths 8.805, 8.805, 8.805 Å; angles 57.91, 57.91, 57.91 degrees
Element x y z (fractional)
Zn 0.000 0.000 0.000
Zn 0.500 0.500 0.500
Ge 0.293 0.293 0.293
Ge 0.793 0.793 0.793
S 0.098 0.407 0.682
S 0.182 0.907 0.598
S 0.407 0.682 0.098
S 0.598 0.182 0.907
S 0.682 0.098 0.407
S 0.907 0.598 0.182
O 0.004 0.891 0.620
O 0.061 0.244 0.852
O 0.085 0.422 0.197
O 0.120 0.391 0.504
O 0.154 0.930 0.762
O 0.197 0.085 0.422
O 0.244 0.852 0.061
O 0.262 0.430 0.654
O 0.352 0.744 0.561
O 0.391 0.504 0.120
O 0.422 0.197 0.085
O 0.430 0.654 0.262
O 0.504 0.120 0.391
O 0.561 0.352 0.744
O 0.585 0.697 0.922
O 0.620 0.004 0.891
O 0.654 0.262 0.430
O 0.697 0.922 0.585
O 0.744 0.561 0.352
O 0.762 0.154 0.930
O 0.852 0.061 0.244
O 0.891 0.620 0.004
O 0.922 0.585 0.697
O 0.930 0.762 0.154